# Li3V3P4O16
Computed X-ray powder pattern, Cu Ka. Input: a cell relaxed with GGA+U.

Structure:
a = 8.2303 Å, b = 4.9827 Å, c = 15.5331 Å
α = 90.00°, β = 112.05°, γ = 90.00°
Element x y z (fractional)
Li: 0.0000 0.0000 0.0000
Li: 0.0000 0.5000 0.5000
Li: 0.2984 0.0219 0.6222
Li: 0.2984 0.4781 0.1222
Li: 0.7016 0.5219 0.8778
Li: 0.7016 0.9781 0.3778
V: 0.1782 0.5734 0.7082
V: 0.1782 0.9266 0.2082
V: 0.5000 0.0000 0.5000
V: 0.5000 0.5000 0.0000
V: 0.8218 0.0734 0.7918
V: 0.8218 0.4266 0.2918
P: 0.0730 0.5111 0.8928
P: 0.0730 0.9889 0.3928
P: 0.4735 0.5049 0.3498
P: 0.4735 0.9951 0.8498
P: 0.5265 0.0049 0.1502
P: 0.5265 0.4951 0.6502
P: 0.9270 0.0111 0.6072
P: 0.9270 0.4889 0.1072
O: 0.9999 0.2036 0.1117
O: 0.9999 0.2964 0.6117
O: 0.0001 0.7036 0.3883
O: 0.0001 0.7964 0.8883
O: 0.0652 0.6942 0.0968
O: 0.0652 0.8058 0.5968
O: 0.0921 0.0724 0.3007
O: 0.0921 0.4276 0.8007
O: 0.2417 0.0315 0.4787
O: 0.2417 0.4685 0.9787
O: 0.3224 0.5830 0.2571
O: 0.3224 0.9170 0.7571
O: 0.3462 0.0822 0.1580
O: 0.3462 0.4178 0.6580
O: 0.4516 0.6728 0.4269
O: 0.4516 0.8272 0.9269
O: 0.4773 0.2018 0.3721
O: 0.4773 0.2982 0.8721
O: 0.5227 0.7018 0.1279
O: 0.5227 0.7982 0.6279
O: 0.5484 0.1728 0.0731
O: 0.5484 0.3272 0.5731
O: 0.6538 0.5822 0.3420
O: 0.6538 0.9178 0.8420
O: 0.6776 0.0830 0.2429
O: 0.6776 0.4170 0.7429
O: 0.7583 0.5315 0.0213
O: 0.7583 0.9685 0.5213
O: 0.9079 0.5724 0.1993
O: 0.9079 0.9276 0.6993
O: 0.9348 0.1942 0.4032
O: 0.9348 0.3058 0.9032

Largest 10 diffraction maxima, in order of rising 2θ, 10° ≤ 2θ ≤ 90°:
2θ 21.90, intensity 281
2θ 23.03, intensity 286
2θ 23.36, intensity 1000
2θ 25.25, intensity 396
2θ 25.77, intensity 738
2θ 26.93, intensity 473
2θ 28.24, intensity 325
2θ 31.17, intensity 403
2θ 31.96, intensity 400
2θ 36.04, intensity 382